HoNbN2O: simulated powder XRD pattern (copper Kα), based on a cell relaxed with PBE.

Structural model:
```
HoNbN2O
1.0
7.8105 0.0000 0.0000
0.0000 5.4959 0.0000
0.0000 0.0000 5.7698
Ho Nb N O
4 4 8 4
direct
0.0000 0.2441 0.0000 Ho
0.0000 0.7559 0.5000 Ho
0.5000 0.2483 0.1239 Ho
0.5000 0.7517 0.6239 Ho
0.2569 0.2666 0.5762 Nb
0.2569 0.7334 0.0762 Nb
0.7431 0.2666 0.5762 Nb
0.7431 0.7334 0.0762 Nb
0.0000 0.3471 0.5853 N
0.0000 0.6529 0.0853 N
0.3038 0.4380 0.8662 N
0.3038 0.5620 0.3662 N
0.5000 0.1386 0.5071 N
0.5000 0.8614 0.0071 N
0.6962 0.4380 0.8662 N
0.6962 0.5620 0.3662 N
0.1956 0.0640 0.2319 O
0.1956 0.9360 0.7319 O
0.8044 0.0640 0.2319 O
0.8044 0.9360 0.7319 O
```

Main lines, by angle (10° ≤ 2θ ≤ 90°):
| two_theta | I/Imax |
| --- | --- |
| 25.11 | 128 |
| 31.00 | 213 |
| 32.11 | 1000 |
| 32.59 | 256 |
| 45.59 | 176 |
| 46.51 | 126 |
| 51.70 | 119 |
| 57.88 | 332 |

Zr2PbS4: simulated powder XRD pattern (copper Kα), based on a cell relaxed with PBE.

Structural model:
```
Zr2PbS4
1.0
3.2886 -5.2247 0.0000
3.2886 5.2247 0.0000
0.0000 0.0000 10.1603
Zr Pb S
4 2 8
direct
0.2400 0.7554 0.0000 Zr
0.2446 0.7600 0.5000 Zr
0.7554 0.2400 0.5000 Zr
0.7600 0.2446 0.0000 Zr
0.5000 0.5000 0.2500 Pb
0.5000 0.5000 0.7500 Pb
0.0000 0.5000 0.3150 S
0.0000 0.5000 0.6850 S
0.1927 0.3275 0.0000 S
0.3275 0.1927 0.5000 S
0.5000 0.0000 0.1850 S
0.5000 0.0000 0.8150 S
0.6725 0.8073 0.5000 S
0.8073 0.6725 0.0000 S
```

Main lines, by angle (10° ≤ 2θ ≤ 90°):
| two_theta | I/Imax |
| --- | --- |
| 15.92 | 658 |
| 23.71 | 586 |
| 24.44 | 555 |
| 29.01 | 222 |
| 34.33 | 263 |
| 35.34 | 251 |
| 36.82 | 1000 |
| 57.88 | 187 |

TbNdAg2Sb4: simulated powder XRD pattern (copper Kα), based on a cell relaxed with PBE.

Structural model:
```
TbNdAg2Sb4
1.0
4.3762 0.0000 0.0000
0.0000 4.3762 0.0000
0.0000 0.0000 10.5610
Tb Nd Ag Sb
1 1 2 4
direct
0.0000 0.0000 0.0000 Tb
0.5000 0.5000 0.5259 Nd
0.0000 0.5000 0.2582 Ag
0.5000 0.0000 0.2582 Ag
0.0000 0.0000 0.4395 Sb
0.0000 0.5000 0.7666 Sb
0.5000 0.0000 0.7666 Sb
0.5000 0.5000 0.0774 Sb
```

Main lines, by angle (10° ≤ 2θ ≤ 90°):
| two_theta | I/Imax |
| --- | --- |
| 26.45 | 119 |
| 33.57 | 1000 |
| 33.95 | 145 |
| 39.88 | 82 |
| 41.26 | 339 |
| 54.46 | 147 |
| 59.77 | 111 |
| 70.32 | 225 |

Nb5Ni4As4: simulated powder XRD pattern (copper Kα), based on a cell relaxed with PBE.

Structural model:
```
Nb5Ni4As4
1.0
-5.1126 5.1126 1.8341
5.1126 -5.1126 1.8341
5.1126 5.1126 -1.8341
Nb Ni As
5 4 4
direct
0.0000 0.0000 0.0000 Nb
0.3056 0.3714 0.6771 Nb
0.3714 0.6944 0.0658 Nb
0.6286 0.3056 0.9342 Nb
0.6944 0.6286 0.3229 Nb
0.1064 0.5822 0.6886 Ni
0.4178 0.1064 0.5243 Ni
0.5822 0.8936 0.4757 Ni
0.8936 0.4178 0.3114 Ni
0.0584 0.2583 0.3167 As
0.2583 0.9416 0.1999 As
0.7417 0.0584 0.8001 As
0.9416 0.7417 0.6833 As
```

Main lines, by angle (10° ≤ 2θ ≤ 90°):
| two_theta | I/Imax |
| --- | --- |
| 35.97 | 526 |
| 37.31 | 166 |
| 39.41 | 303 |
| 40.19 | 1000 |
| 44.08 | 412 |
| 45.22 | 268 |
| 49.71 | 288 |
| 71.99 | 168 |

Which formula does entry 1 have? HoNbN2O